1.
The following is a simulated powder diffractogram of Sr3Sb. It was derived from the GGA-PBE geometry in Alexandria, using Cu Kα (λ = 1.5418 Å).

The 8 most intense peaks (15° ≤ 2θ ≤ 90°), in order of rising 2θ:
| two_theta | I_rel |
| --- | --- |
| 27.1 | 233 |
| 29.2 | 258 |
| 30.8 | 1000 |
| 40.2 | 160 |
| 47.8 | 190 |
| 52.8 | 215 |
| 57.0 | 224 |
| 58.0 | 159 |

Crystal structure
```
Sr3Sb
1.0
7.607 0.000 0.000
-3.803 6.588 0.000
0.000 0.000 6.114
Sr Sb
6 2
Cartesian
0.000 2.270 1.529
-1.837 5.452 1.529
1.966 1.135 4.586
1.837 5.452 1.529
5.641 1.135 4.586
3.803 4.317 4.586
0.000 4.392 4.586
3.803 2.196 1.529
```



2.
The following is a simulated powder diffractogram of Tl3AgHg12. It was derived from the GGA-PBE geometry in Alexandria, using Cu Kα (λ = 1.5418 Å).

The 8 most intense peaks (15° ≤ 2θ ≤ 90°), in order of rising 2θ:
| two_theta | I_rel |
| --- | --- |
| 32.6 | 1000 |
| 32.7 | 975 |
| 35.5 | 432 |
| 36.0 | 418 |
| 41.8 | 192 |
| 51.5 | 305 |
| 56.0 | 165 |
| 62.0 | 322 |

Crystal structure
```
Tl3AgHg12
1.0
4.990 0.000 0.000
0.000 5.051 0.000
-0.095 0.000 17.272
Tl Ag Hg
3 1 12
Cartesian
0.000 0.000 0.000
-0.008 0.000 4.642
4.903 0.000 12.630
-0.047 0.000 8.636
-0.035 2.526 6.751
4.930 2.526 10.521
0.001 2.526 2.279
2.425 0.000 10.503
2.409 2.526 12.787
2.400 0.000 14.980
2.495 2.526 0.000
2.448 2.526 8.636
2.495 0.000 2.292
2.471 0.000 6.769
2.486 2.526 4.485
4.894 2.526 14.994
```



Please write out number 2 again, unchanged.
The following is a simulated powder diffractogram of Tl3AgHg12. It was derived from the GGA-PBE geometry in Alexandria, using Cu Kα (λ = 1.5418 Å).

The 8 most intense peaks (15° ≤ 2θ ≤ 90°), in order of rising 2θ:
| two_theta | I_rel |
| --- | --- |
| 32.6 | 1000 |
| 32.7 | 975 |
| 35.5 | 432 |
| 36.0 | 418 |
| 41.8 | 192 |
| 51.5 | 305 |
| 56.0 | 165 |
| 62.0 | 322 |

Crystal structure
```
Tl3AgHg12
1.0
4.990 0.000 0.000
0.000 5.051 0.000
-0.095 0.000 17.272
Tl Ag Hg
3 1 12
Cartesian
0.000 0.000 0.000
-0.008 0.000 4.642
4.903 0.000 12.630
-0.047 0.000 8.636
-0.035 2.526 6.751
4.930 2.526 10.521
0.001 2.526 2.279
2.425 0.000 10.503
2.409 2.526 12.787
2.400 0.000 14.980
2.495 2.526 0.000
2.448 2.526 8.636
2.495 0.000 2.292
2.471 0.000 6.769
2.486 2.526 4.485
4.894 2.526 14.994
```